Diffraction record for Li5CoNi9O20. The PXRD pattern is calculated, not measured: it uses a crystal structure in Alexandria, relaxed with PBE+U and a wavelength of 1.5418 Å.

Principal peaks in the range 2θ from 15° to 90°, in order of rising 2θ:
2θ (°), d [Å], I_rel
18.19, 4.877, 100
36.68, 2.450, 12
37.11, 2.423, 21
44.05, 2.056, 17
44.24, 2.047, 17
44.60, 2.031, 16
57.64, 1.599, 10
63.10, 1.473, 9

Structural model:
Cell: 2.861 11.445 11.699 Å, 64.45 89.34 82.90°
Space group P1 (No. 1)
Symmetry-distinct sites (fractional):
Li  0.000  0.000  0.000
Li  0.018  0.027  0.474
Li  0.594  0.791  0.710
Li  0.758  0.406  0.595
Li  0.813  0.407  0.094
Co  0.167  0.606  0.646
Ni  0.013  0.006  0.244
Ni  0.222  0.610  0.146
Ni  0.350  0.208  0.545
Ni  0.402  0.205  0.045
Ni  0.610  0.806  0.446
Ni  0.617  0.803  0.944
Ni  0.786  0.405  0.846
Ni  0.788  0.409  0.344
Ni  0.978  0.009  0.744
O  0.081  0.791  0.571
O  0.089  0.820  0.822
O  0.134  0.823  0.331
O  0.137  0.793  0.058
O  0.234  0.424  0.721
O  0.248  0.390  0.470
O  0.330  0.428  0.220
O  0.338  0.388  0.970
O  0.424  0.024  0.620
O  0.467  0.023  0.120
O  0.534  0.987  0.870
O  0.561  0.990  0.370
O  0.666  0.595  0.756
O  0.669  0.618  0.535
O  0.721  0.618  0.036
O  0.725  0.596  0.255
O  0.850  0.218  0.435
O  0.851  0.199  0.654
O  0.902  0.195  0.155
O  0.903  0.215  0.936